# 1
Structure and theoretical PXRD pattern of Er3Ge2Ir2 (a crystal structure in Alexandria, relaxed with PBE; Cu Kα).
No peak broadening, texture or thermal motion is included.

Most intense lines, 2θ = 10–90°, by angle:
| 2θ (°) | Rel. int. | (hkl) |
| --- | --- | --- |
| 33.49 | 42 | 1 1 4 |
| 34.14 | 25 | 2 1 0 |
| 34.77 | 84 | 1 2 3 |
| 35.65 | 43 | 0 2 4 |
| 38.43 | 61 | 1 3 0 |
| 39.24 | 19 | 1 2 4 |
| 39.92 | 100 | 2 1 3 |
| 40.81 | 36 | 0 0 6 |
| 57.30 | 20 | 1 3 6 |
| 58.89 | 20 | 3 2 3 |

Crystal structure
abc: 5.5837 7.7405 13.2680
angles: 90.00 90.00 90.00
Space group Pbcm (No. 57)
Unique sites:
Er  0.1234  0.2405  0.2500 (multiplicity 4)
Er  0.3542  0.6049  0.0997 (multiplicity 8)
Ge  0.1590  0.2500  0.0000 (multiplicity 4)
Ge  0.3802  0.6084  0.7500 (multiplicity 4)
Ir  0.1325  0.5456  0.5931 (multiplicity 8)

=====

# 2
Structure and theoretical PXRD pattern of Er2Ge2Ir5 (a crystal structure in Alexandria, relaxed with PBE; Cu Kα).
No peak broadening, texture or thermal motion is included.

Most intense lines, 2θ = 10–90°, by angle:
| 2θ (°) | Rel. int. | (hkl) |
| --- | --- | --- |
| 36.55 | 100 | 1 1 2 |
| 40.08 | 12 | 0 0 4 |
| 43.12 | 20 | 1 1 3 |
| 43.61 | 42 | 2 0 0 |
| 60.71 | 15 | 2 0 4 |
| 63.37 | 14 | 2 2 0 |
| 69.07 | 7 | 2 0 5 |
| 70.51 | 10 | 1 1 6 |
| 75.43 | 25 | 3 1 2 |
| 77.68 | 7 | 2 2 4 |

Crystal structure
abc: 4.1512 4.1512 8.9995
angles: 90.00 90.00 90.00
Space group P4/mmm (No. 123)
Unique sites:
Er  0.0000  0.0000  0.0000 (multiplicity 1)
Er  0.0000  0.0000  0.5000 (multiplicity 1)
Ge  0.5000  0.5000  0.1360 (multiplicity 2)
Ir  0.0000  0.5000  0.2766 (multiplicity 4)
Ir  0.5000  0.5000  0.5000 (multiplicity 1)